The following is a theoretical X-ray powder pattern of NiAg2GeS4. It was derived from a GGA-PBE-relaxed structure, using Cu Kα, 1.54184 Å.
No peak broadening, texture or thermal motion is included.

The 12 most intense peaks (2θ from 5° to 70°), sorted by position:
2θ (°)  Rel. int.  index
17.77  3  1 0 1
27.96  100  1 1 2
29.87  3  1 0 3
31.61  14  2 0 0
33.93  5  0 0 4
36.50  5  2 1 1
45.31  19  2 2 0
47.05  36  2 0 4
54.09  29  1 3 2
57.13  12  1 1 6
57.79  5  2 2 4
66.01  5  4 0 0

Cell and atoms:
```
data_NiAg2GeS4
_chemical_formula_sum 'Ni2 Ag4 Ge2 S8'
_cell_length_a 5.661
_cell_length_b 5.661
_cell_length_c 10.569
_cell_angle_alpha 90.00
_cell_angle_beta 90.00
_cell_angle_gamma 90.00
_symmetry_space_group_name_H-M 'I -4'
_symmetry_Int_Tables_number 82
_symmetry_space_group_name_Hall 'I -4'
loop_
_atom_site_label
_atom_site_type_symbol
_atom_site_fract_x
_atom_site_fract_y
_atom_site_fract_z
_atom_site_occupancy
Ni1 Ni 0.000 0.000 0.000 1
Ag1 Ag 0.000 0.000 0.500 1
Ag2 Ag 0.000 0.500 0.250 1
Ge1 Ge 0.000 0.500 0.750 1
S1 S 0.205 0.248 0.878 1
```